The following is a computed powder diffraction line list of Ac6InAu2. It was derived from a DFT-relaxed cell (GGA-PBE, Alexandria), using a wavelength of 1.5418 Å.

Most intense lines, 10° ≤ 2θ ≤ 80°, by intensity:
| 2θ (°) | I/Imax |
| --- | --- |
| 29.87 | 100.0 |
| 28.14 | 47.7 |
| 30.75 | 47.2 |
| 34.81 | 39.0 |
| 53.26 | 29.7 |
| 31.59 | 23.1 |
| 34.67 | 21.6 |
| 49.97 | 17.6 |

Structure:
```
Ac6InAu2
1.0
-5.152 5.542 5.852
5.152 -5.542 5.852
5.152 5.542 -5.852
Ac In Au
12 2 4
Direct
0.046 0.237 0.809 Ac
0.179 0.286 0.466 Ac
0.179 0.714 0.893 Ac
0.331 0.025 0.694 Ac
0.331 0.636 0.306 Ac
0.428 0.237 0.191 Ac
0.572 0.763 0.809 Ac
0.669 0.364 0.694 Ac
0.669 0.975 0.306 Ac
0.821 0.286 0.107 Ac
0.821 0.714 0.534 Ac
0.954 0.763 0.191 Ac
0.000 0.000 0.000 In
0.500 0.500 0.000 In
0.128 0.628 0.500 Au
0.337 0.000 0.337 Au
0.663 0.000 0.663 Au
0.872 0.372 0.500 Au
```

The following is a computed powder diffraction line list of ReIr4. It was derived from a DFT-relaxed cell (GGA-PBE, Alexandria), using a wavelength of 1.5418 Å.

Most intense lines, 10° ≤ 2θ ≤ 80°, by intensity:
| 2θ (°) | I/Imax |
| --- | --- |
| 42.99 | 100.0 |
| 43.08 | 50.3 |
| 40.83 | 38.6 |
| 37.63 | 36.3 |
| 67.93 | 26.2 |
| 56.78 | 15.1 |
| 75.72 | 9.7 |
| 75.99 | 9.6 |

Structure:
```
ReIr4
1.0
4.636 -2.389 0.000
4.636 2.389 0.000
-2.554 0.000 6.582
Re Ir
2 8
Direct
0.102 0.102 0.205 Re
0.898 0.898 0.795 Re
0.168 0.832 0.500 Ir
0.305 0.297 0.605 Ir
0.363 0.026 0.902 Ir
0.509 0.491 0.000 Ir
0.566 0.232 0.301 Ir
0.703 0.695 0.395 Ir
0.768 0.434 0.699 Ir
0.974 0.637 0.098 Ir
```

The following is a computed powder diffraction line list of DyTh8Bi6. It was derived from a DFT-relaxed cell (GGA-PBE, Alexandria), using a wavelength of 1.5418 Å.

Most intense lines, 10° ≤ 2θ ≤ 80°, by intensity:
| 2θ (°) | I/Imax |
| --- | --- |
| 32.56 | 100.0 |
| 33.32 | 90.7 |
| 47.28 | 34.0 |
| 59.07 | 33.8 |
| 57.61 | 21.8 |
| 23.13 | 21.4 |
| 19.06 | 16.3 |
| 78.06 | 16.3 |

Structure:
```
DyTh8Bi6
1.0
4.657 2.689 6.815
-4.657 2.689 6.815
0.000 -5.378 6.815
Dy Th Bi
1 8 6
Direct
0.000 0.000 0.000 Dy
0.101 0.764 0.465 Th
0.236 0.535 0.899 Th
0.334 0.334 0.334 Th
0.465 0.101 0.764 Th
0.535 0.899 0.236 Th
0.666 0.666 0.666 Th
0.764 0.465 0.101 Th
0.899 0.236 0.535 Th
0.068 0.376 0.740 Bi
0.260 0.932 0.624 Bi
0.376 0.740 0.068 Bi
0.624 0.260 0.932 Bi
0.740 0.068 0.376 Bi
0.932 0.624 0.260 Bi
```

The following is a computed powder diffraction line list of BaSrIn4. It was derived from a DFT-relaxed cell (GGA-PBE, Alexandria), using a wavelength of 1.5418 Å.

Most intense lines, 10° ≤ 2θ ≤ 80°, by intensity:
| 2θ (°) | I/Imax |
| --- | --- |
| 29.04 | 100.0 |
| 35.44 | 74.3 |
| 28.72 | 57.4 |
| 34.21 | 52.3 |
| 33.47 | 44.6 |
| 29.52 | 35.4 |
| 56.34 | 30.5 |
| 48.61 | 30.5 |

Structure:
```
BaSrIn4
1.0
-2.621 4.222 4.339
2.621 -4.222 4.339
2.621 4.222 -4.339
Ba Sr In
1 1 4
Direct
0.000 0.000 0.000 Ba
0.410 0.910 0.500 Sr
0.424 0.610 0.813 In
0.602 0.287 0.315 In
0.797 0.610 0.187 In
0.973 0.287 0.685 In
```

The following is a computed powder diffraction line list of Be8As6Au. It was derived from a DFT-relaxed cell (GGA-PBE, Alexandria), using a wavelength of 1.5418 Å.

Most intense lines, 10° ≤ 2θ ≤ 80°, by intensity:
| 2θ (°) | I/Imax |
| --- | --- |
| 32.26 | 100.0 |
| 27.44 | 87.7 |
| 30.88 | 82.9 |
| 48.51 | 82.4 |
| 51.36 | 80.8 |
| 21.05 | 79.1 |
| 15.74 | 77.9 |
| 34.81 | 73.3 |

Structure:
```
Be8As6Au
1.0
6.500 0.000 0.000
-3.250 5.629 0.000
0.000 0.000 12.755
Be As Au
16 12 2
Direct
0.000 0.330 0.000 Be
0.000 0.338 0.656 Be
0.000 0.662 0.156 Be
0.000 0.670 0.500 Be
0.330 0.000 0.000 Be
0.330 0.330 0.500 Be
0.333 0.667 0.257 Be
0.333 0.667 0.757 Be
0.338 0.000 0.656 Be
0.338 0.338 0.156 Be
0.662 0.000 0.156 Be
0.662 0.662 0.656 Be
0.667 0.333 0.257 Be
0.667 0.333 0.757 Be
0.670 0.000 0.500 Be
0.670 0.670 0.000 Be
0.000 0.000 0.112 As
0.000 0.000 0.612 As
0.000 0.374 0.827 As
0.000 0.626 0.327 As
0.333 0.667 0.071 As
0.333 0.667 0.571 As
0.374 0.000 0.827 As
0.374 0.374 0.327 As
0.626 0.000 0.327 As
0.626 0.626 0.827 As
0.667 0.333 0.071 As
0.667 0.333 0.571 As
0.000 0.000 0.407 Au
0.000 0.000 0.907 Au
```

The following is a computed powder diffraction line list of UPt8Rh2. It was derived from a DFT-relaxed cell (GGA-PBE, Alexandria), using a wavelength of 1.5418 Å.

Most intense lines, 10° ≤ 2θ ≤ 80°, by intensity:
| 2θ (°) | I/Imax |
| --- | --- |
| 38.84 | 100.0 |
| 44.85 | 16.8 |
| 45.18 | 16.3 |
| 45.44 | 16.1 |
| 78.65 | 13.2 |
| 65.56 | 10.9 |
| 65.76 | 10.8 |
| 79.18 | 6.4 |

Structure:
```
UPt8Rh2
1.0
7.216 -2.021 0.000
7.216 2.021 0.000
-1.700 0.000 6.107
U Pt Rh
1 8 2
Direct
0.000 0.000 0.000 U
0.093 0.093 0.448 Pt
0.184 0.184 0.914 Pt
0.364 0.364 0.815 Pt
0.452 0.452 0.273 Pt
0.548 0.548 0.727 Pt
0.636 0.636 0.185 Pt
0.816 0.816 0.086 Pt
0.907 0.907 0.552 Pt
0.274 0.274 0.371 Rh
0.726 0.726 0.629 Rh
```

The following is a computed powder diffraction line list of LiDy2F7. It was derived from a DFT-relaxed cell (GGA-PBE, Alexandria), using a wavelength of 1.5418 Å.

Most intense lines, 10° ≤ 2θ ≤ 80°, by intensity:
| 2θ (°) | I/Imax |
| --- | --- |
| 17.29 | 100.0 |
| 26.25 | 98.8 |
| 46.02 | 54.9 |
| 26.73 | 46.5 |
| 49.30 | 41.6 |
| 49.52 | 39.0 |
| 35.13 | 36.9 |
| 29.92 | 34.6 |

Structure:
```
LiDy2F7
1.0
1.972 1.139 10.258
-1.972 1.139 10.258
0.000 -2.277 10.258
Li Dy F
1 2 7
Direct
0.000 0.000 0.000 Li
0.428 0.428 0.428 Dy
0.572 0.572 0.572 Dy
0.076 0.076 0.076 F
0.223 0.223 0.223 F
0.359 0.359 0.359 F
0.500 0.500 0.500 F
0.641 0.641 0.641 F
0.777 0.777 0.777 F
0.924 0.924 0.924 F
```

The following is a computed powder diffraction line list of Y4Zn3. It was derived from a DFT-relaxed cell (GGA-PBE, Alexandria), using a wavelength of 1.5418 Å.

Most intense lines, 10° ≤ 2θ ≤ 80°, by intensity:
| 2θ (°) | I/Imax |
| --- | --- |
| 35.73 | 100.0 |
| 36.06 | 95.9 |
| 51.67 | 33.2 |
| 64.40 | 33.1 |
| 64.19 | 17.0 |
| 25.17 | 17.0 |
| 65.04 | 15.3 |
| 75.69 | 10.3 |

Structure:
```
Y4Zn3
1.0
2.513 1.451 8.100
-2.513 1.451 8.100
0.000 -2.902 8.100
Y Zn
4 3
Direct
0.121 0.121 0.121 Y
0.373 0.373 0.373 Y
0.627 0.627 0.627 Y
0.879 0.879 0.879 Y
0.248 0.248 0.248 Zn
0.500 0.500 0.500 Zn
0.752 0.752 0.752 Zn
```

The following is a computed powder diffraction line list of La4Tb2Sm. It was derived from a DFT-relaxed cell (GGA-PBE, Alexandria), using a wavelength of 1.5418 Å.

Most intense lines, 10° ≤ 2θ ≤ 80°, by intensity:
| 2θ (°) | I/Imax |
| --- | --- |
| 29.66 | 100.0 |
| 30.94 | 34.2 |
| 30.91 | 34.1 |
| 36.38 | 31.0 |
| 30.18 | 28.3 |
| 31.59 | 27.3 |
| 49.57 | 21.3 |
| 31.79 | 20.5 |

Structure:
```
La4Tb2Sm
1.0
3.284 -12.350 0.000
3.284 12.350 0.000
-3.277 0.000 6.100
La Tb Sm
8 4 2
Direct
0.019 0.981 0.500 La
0.138 0.601 0.738 La
0.217 0.611 0.278 La
0.453 0.559 0.456 La
0.559 0.453 0.956 La
0.601 0.138 0.238 La
0.611 0.217 0.778 La
0.981 0.019 0.000 La
0.051 0.735 0.323 Tb
0.345 0.529 0.910 Tb
0.529 0.345 0.410 Tb
0.735 0.051 0.823 Tb
0.088 0.838 0.867 Sm
0.838 0.088 0.367 Sm
```

The following is a computed powder diffraction line list of Pr3In2Pd6. It was derived from a DFT-relaxed cell (GGA-PBE, Alexandria), using a wavelength of 1.5418 Å.

Most intense lines, 10° ≤ 2θ ≤ 80°, by intensity:
| 2θ (°) | I/Imax |
| --- | --- |
| 38.83 | 100.0 |
| 31.50 | 28.4 |
| 70.31 | 26.5 |
| 34.10 | 25.6 |
| 62.63 | 17.4 |
| 41.03 | 16.1 |
| 12.72 | 15.6 |
| 36.53 | 14.8 |

Structure:
```
Pr3In2Pd6
1.0
-4.919 4.919 4.919
4.919 -4.919 4.919
4.919 4.919 -4.919
Pr In Pd
6 4 12
Direct
0.000 0.290 0.290 Pr
0.000 0.710 0.710 Pr
0.290 0.000 0.290 Pr
0.290 0.290 0.000 Pr
0.710 0.000 0.710 Pr
0.710 0.710 0.000 Pr
0.000 0.000 0.500 In
0.000 0.500 0.000 In
0.500 0.000 0.000 In
0.500 0.500 0.500 In
0.000 0.342 0.658 Pd
0.000 0.658 0.342 Pd
0.315 0.658 0.658 Pd
0.342 0.000 0.658 Pd
0.342 0.342 0.685 Pd
0.342 0.658 0.000 Pd
0.342 0.685 0.342 Pd
0.658 0.000 0.342 Pd
0.658 0.315 0.658 Pd
0.658 0.342 0.000 Pd
0.658 0.658 0.315 Pd
0.685 0.342 0.342 Pd
```

The following is a computed powder diffraction line list of Co4Pt. It was derived from a DFT-relaxed cell (GGA-PBE, Alexandria), using a wavelength of 1.5418 Å.

Most intense lines, 10° ≤ 2θ ≤ 80°, by intensity:
| 2θ (°) | I/Imax |
| --- | --- |
| 43.13 | 100.0 |
| 50.23 | 46.7 |
| 73.78 | 28.8 |
| 29.09 | 24.0 |
| 21.88 | 18.8 |
| 31.14 | 12.2 |
| 63.80 | 5.8 |
| 72.70 | 4.9 |

Structure:
```
Co4Pt
1.0
-2.872 2.872 1.816
2.872 -2.872 1.816
2.872 2.872 -1.816
Co Pt
4 1
Direct
0.094 0.692 0.787 Co
0.308 0.094 0.402 Co
0.692 0.906 0.598 Co
0.906 0.308 0.213 Co
0.500 0.500 0.000 Pt
```

The following is a computed powder diffraction line list of AlSb2O6. It was derived from a DFT-relaxed cell (GGA-PBE, Alexandria), using a wavelength of 1.5418 Å.

Most intense lines, 10° ≤ 2θ ≤ 80°, by intensity:
| 2θ (°) | I/Imax |
| --- | --- |
| 27.91 | 100.0 |
| 53.33 | 31.1 |
| 35.68 | 24.0 |
| 45.90 | 19.5 |
| 20.38 | 18.0 |
| 59.46 | 14.4 |
| 30.37 | 9.6 |
| 63.03 | 9.4 |

Structure:
```
AlSb2O6
1.0
8.716 0.000 0.000
-4.358 7.548 0.000
0.000 0.000 4.702
Al Sb O
3 6 18
Direct
0.000 0.000 0.000 Al
0.333 0.667 0.508 Al
0.667 0.333 0.492 Al
0.000 0.302 0.500 Sb
0.000 0.637 0.000 Sb
0.302 0.000 0.500 Sb
0.363 0.363 0.000 Sb
0.637 0.000 0.000 Sb
0.698 0.698 0.500 Sb
0.097 0.887 0.772 O
0.113 0.210 0.772 O
0.122 0.535 0.728 O
0.210 0.113 0.228 O
0.223 0.772 0.285 O
0.228 0.451 0.285 O
0.413 0.878 0.728 O
0.451 0.228 0.715 O
0.465 0.587 0.728 O
0.535 0.122 0.272 O
0.549 0.777 0.285 O
0.587 0.465 0.272 O
0.772 0.223 0.715 O
0.777 0.549 0.715 O
0.790 0.903 0.772 O
0.878 0.413 0.272 O
0.887 0.097 0.228 O
0.903 0.790 0.228 O
```